[1]
AcPuCuO6: computed X-ray diffraction stick pattern (CuKα), based on the PBE geometry in Alexandria.
Kinematic intensities with the Lorentz-polarization factor, no thermal factor.

Most intense lines, 10° ≤ 2θ ≤ 90°, sorted by position:
Position (°2θ)	d (Å)	Rel. int.
24.05	3.700	100
25.49	3.495	87
25.88	3.443	72
31.50	2.840	37
34.10	2.629	52
48.95	1.861	31

Cell and atoms:
```
AcPuCuO6
1.0
2.847 -4.450 0.000
2.847 4.450 0.000
-0.371 0.000 5.436
Ac Pu Cu O
1 1 1 6
Direct
0.000 0.000 0.000
0.643 0.357 0.500
0.305 0.695 0.500
0.341 0.035 0.684
0.344 0.398 0.284
0.602 0.656 0.716
0.645 0.069 0.265
0.931 0.355 0.735
0.965 0.659 0.316
```

[2]
RbAcCu4O6: computed X-ray diffraction stick pattern (CuKα), based on the PBE geometry in Alexandria.
Kinematic intensities with the Lorentz-polarization factor, no thermal factor.

Most intense lines, 10° ≤ 2θ ≤ 90°, sorted by position:
Position (°2θ)	d (Å)	Rel. int.
22.02	4.036	41
30.91	2.893	100
31.77	2.817	78
44.92	2.018	20
49.99	1.825	25
56.06	1.641	36

Cell and atoms:
```
RbAcCu4O6
1.0
5.634 0.000 0.000
-2.817 4.879 0.000
0.000 0.000 7.184
Rb Ac Cu O
1 1 4 6
Direct
0.000 0.000 0.000
0.000 0.000 0.500
0.333 0.667 0.181
0.333 0.667 0.819
0.667 0.333 0.181
0.667 0.333 0.819
0.000 0.500 0.295
0.000 0.500 0.705
0.500 0.000 0.295
0.500 0.000 0.705
0.500 0.500 0.295
0.500 0.500 0.705
```

[3]
AcCuRh2O8: computed X-ray diffraction stick pattern (CuKα), based on the PBE geometry in Alexandria.
Kinematic intensities with the Lorentz-polarization factor, no thermal factor.

Most intense lines, 10° ≤ 2θ ≤ 90°, sorted by position:
Position (°2θ)	d (Å)	Rel. int.
17.73	5.003	18
24.09	3.695	100
31.40	2.849	77
34.32	2.613	25
47.20	1.926	64
59.65	1.550	19

Cell and atoms:
```
AcCuRh2O8
1.0
-3.695 3.695 3.399
3.695 -3.695 3.399
3.695 3.695 -3.399
Ac Cu Rh O
1 1 2 8
Direct
0.000 0.000 0.000
0.250 0.750 0.500
0.500 0.500 0.000
0.750 0.250 0.500
0.324 0.134 0.810
0.324 0.514 0.190
0.384 0.053 0.330
0.486 0.676 0.810
0.723 0.053 0.670
0.866 0.676 0.190
0.947 0.277 0.330
0.947 0.616 0.670
```

[4]
Ac2Cu2RhO6: computed X-ray diffraction stick pattern (CuKα), based on the PBE geometry in Alexandria.
Kinematic intensities with the Lorentz-polarization factor, no thermal factor.

Most intense lines, 10° ≤ 2θ ≤ 90°, sorted by position:
Position (°2θ)	d (Å)	Rel. int.
20.89	4.253	22
28.99	3.080	27
30.41	2.940	100
33.90	2.645	55
46.17	1.966	27
56.29	1.634	30

Cell and atoms:
```
Ac2Cu2RhO6
1.0
2.940 1.697 5.158
-2.940 1.697 5.158
0.000 -3.394 5.158
Ac Cu Rh O
2 2 1 6
Direct
0.220 0.220 0.220
0.780 0.780 0.780
0.416 0.416 0.416
0.584 0.584 0.584
0.000 0.000 0.000
0.206 0.762 0.762
0.238 0.238 0.794
0.238 0.794 0.238
0.762 0.206 0.762
0.762 0.762 0.206
0.794 0.238 0.238
```